No. 1
The following is a theoretical PXRD pattern of BaZnAu2. It was derived from a crystal structure in Alexandria, relaxed with PBE, using λ = 1.5418 Å (Cu Kα).
Intensities are scaled so that the largest is 1000.

The 8 most intense peaks (2θ from 15° to 90°), low angle first:
19.7°, I = 566; 26.3°, I = 459; 32.1°, I = 1000; 36.5°, I = 396; 39.5°, I = 528; 40.1°, I = 307; 44.5°, I = 264; 57.5°, I = 478

Atomic structure:
```
BaZnAu2
1.0
4.5006 0.0000 0.0000
0.0000 4.9182 0.0000
0.0000 0.0000 5.1521
Ba Zn Au
1 1 2
Cartesian
0.0000 0.0000 0.0000 Ba
2.2503 2.4591 3.5066 Zn
2.2503 0.0000 2.5616 Au
2.2503 2.4591 0.9212 Au
```

---

No. 2
The following is a theoretical PXRD pattern of Ba7Zn2Au2. It was derived from a crystal structure in Alexandria, relaxed with PBE, using λ = 1.5418 Å (Cu Kα).
Intensities are scaled so that the largest is 1000.

The 8 most intense peaks (2θ from 15° to 90°), low angle first:
22.5°, I = 458; 24.2°, I = 297; 24.6°, I = 263; 27.8°, I = 542; 29.3°, I = 327; 31.6°, I = 598; 32.5°, I = 1000; 52.5°, I = 254

Atomic structure:
```
Ba7Zn2Au2
1.0
4.4948 -6.4277 0.0000
4.4948 6.4277 0.0000
0.0000 0.0000 8.3035
Ba Zn Au
7 2 2
Cartesian
0.0000 0.0000 0.0000 Ba
2.2474 3.2138 2.2438 Ba
2.2474 3.2138 6.0597 Ba
2.2474 -3.2138 2.2438 Ba
2.2474 -3.2138 6.0597 Ba
4.4948 0.0000 2.1328 Ba
4.4948 0.0000 6.1707 Ba
1.3466 0.0000 4.1517 Zn
7.6430 0.0000 4.1517 Zn
4.4948 2.6450 0.0000 Au
4.4948 -2.6450 0.0000 Au
```

---

No. 3
The following is a theoretical PXRD pattern of Ba2ZnAu3. It was derived from a crystal structure in Alexandria, relaxed with PBE, using λ = 1.5418 Å (Cu Kα).
Intensities are scaled so that the largest is 1000.

The 8 most intense peaks (2θ from 15° to 90°), low angle first:
20.3°, I = 187; 29.6°, I = 1000; 37.5°, I = 636; 41.2°, I = 168; 43.0°, I = 160; 48.5°, I = 249; 56.9°, I = 378; 62.9°, I = 151

Atomic structure:
```
Ba2ZnAu3
1.0
0.0000 4.7994 8.3046
4.3802 0.0000 8.3046
4.3802 4.7994 0.0000
Ba Zn Au
4 2 6
Cartesian
6.6272 4.7994 8.3046 Ba
2.1901 2.3997 4.1523 Ba
6.5702 7.1992 12.4570 Ba
2.1331 4.7994 8.3046 Ba
4.3802 4.7994 5.5390 Zn
4.3802 4.7994 11.0703 Zn
4.3802 4.7994 2.8856 Au
4.3802 2.5150 6.8662 Au
4.3802 2.5150 9.7431 Au
4.3802 7.0839 6.8662 Au
4.3802 7.0839 9.7431 Au
4.3802 4.7994 13.7236 Au
```

---

No. 4
The following is a theoretical PXRD pattern of BaZn5Au7. It was derived from a crystal structure in Alexandria, relaxed with PBE, using λ = 1.5418 Å (Cu Kα).
Intensities are scaled so that the largest is 1000.

The 8 most intense peaks (2θ from 15° to 90°), low angle first:
32.6°, I = 642; 33.1°, I = 1000; 38.0°, I = 825; 38.2°, I = 843; 38.5°, I = 646; 42.4°, I = 481; 43.0°, I = 952; 68.2°, I = 369

Atomic structure:
```
BaZn5Au7
1.0
-2.7037 4.7890 4.6822
2.7037 -4.7890 4.6822
2.7037 4.7890 -4.6822
Ba Zn Au
1 5 7
Cartesian
0.0000 0.0000 0.0000 Ba
1.3745 2.3974 2.2254 Zn
4.0328 2.3974 2.2254 Zn
0.0000 4.7890 2.4263 Zn
-1.3292 2.3916 6.9075 Zn
1.3292 2.3916 6.9075 Zn
2.7037 2.0117 -0.1842 Au
2.7037 0.0000 2.0846 Au
2.7037 -1.4682 4.6789 Au
0.0000 0.0000 3.2559 Au
2.7037 1.4682 4.6789 Au
0.0000 0.0000 6.1712 Au
0.0000 2.7773 4.4980 Au
```

---

No. 5
The following is a theoretical PXRD pattern of Ba8ZnAu4. It was derived from a crystal structure in Alexandria, relaxed with PBE, using λ = 1.5418 Å (Cu Kα).
Intensities are scaled so that the largest is 1000.

The 8 most intense peaks (2θ from 15° to 90°), low angle first:
22.4°, I = 458; 25.4°, I = 901; 29.8°, I = 1000; 30.6°, I = 925; 31.1°, I = 677; 33.8°, I = 500; 35.9°, I = 707; 37.8°, I = 705

Atomic structure:
```
Ba8ZnAu4
1.0
10.4239 -2.3811 0.0000
10.4239 2.3811 0.0000
-10.0671 0.0000 11.3599
Ba Zn Au
8 1 4
Cartesian
0.0000 0.0000 0.0000 Ba
-5.5928 0.0000 6.4358 Ba
-2.0127 0.0000 4.0660 Ba
-2.7646 0.0000 9.6414 Ba
0.8158 0.0000 7.2734 Ba
5.2919 0.0000 2.3501 Ba
4.1057 0.0000 10.4020 Ba
11.9665 0.0000 3.3063 Ba
8.0153 0.0000 6.8500 Zn
3.1163 0.0000 4.8735 Au
8.7229 0.0000 1.6604 Au
17.4165 0.0000 0.6881 Au
12.9530 0.0000 8.8367 Au
```

---

No. 6
The following is a theoretical PXRD pattern of BaZnAu11. It was derived from a crystal structure in Alexandria, relaxed with PBE, using λ = 1.5418 Å (Cu Kα).
Intensities are scaled so that the largest is 1000.

The 8 most intense peaks (2θ from 15° to 90°), low angle first:
35.6°, I = 482; 36.6°, I = 440; 37.3°, I = 1000; 37.8°, I = 509; 38.0°, I = 572; 40.2°, I = 459; 42.0°, I = 503; 42.3°, I = 843

Atomic structure:
```
BaZnAu11
1.0
2.7984 -6.6299 0.0000
2.7984 6.6299 0.0000
-2.4257 0.0000 7.0259
Ba Zn Au
1 1 11
Cartesian
0.0000 0.0000 0.0000 Ba
1.5856 0.0000 3.5130 Zn
-1.2129 0.0000 3.5130 Au
1.3992 3.3150 0.0000 Au
0.3636 4.2800 4.5657 Au
0.4131 1.4574 5.3784 Au
2.8075 4.2800 2.4603 Au
2.7581 1.4574 1.6475 Au
1.3992 -3.3150 0.0000 Au
0.4131 -1.4574 5.3784 Au
0.3636 -4.2800 4.5657 Au
2.7581 -1.4574 1.6475 Au
2.8075 -4.2800 2.4603 Au
```

---

No. 7
The following is a theoretical PXRD pattern of Ba2ZrAu. It was derived from a crystal structure in Alexandria, relaxed with PBE, using λ = 1.5418 Å (Cu Kα).
Intensities are scaled so that the largest is 1000.

The 8 most intense peaks (2θ from 15° to 90°), low angle first:
21.5°, I = 509; 27.1°, I = 576; 27.7°, I = 569; 32.8°, I = 812; 36.7°, I = 1000; 39.0°, I = 208; 51.3°, I = 208; 57.7°, I = 361

Atomic structure:
```
Ba2ZrAu
1.0
-1.9167 2.1179 9.6564
1.9167 -2.1179 9.6564
1.9167 2.1179 -9.6564
Ba Zr Au
2 1 1
Cartesian
0.0000 0.0000 2.9385 Ba
0.0000 0.0000 16.3743 Ba
0.0000 2.1179 0.0000 Zr
1.9167 0.0000 0.0000 Au
```

---

No. 8
The following is a theoretical PXRD pattern of Be2Au5. It was derived from a crystal structure in Alexandria, relaxed with PBE, using λ = 1.5418 Å (Cu Kα).
Intensities are scaled so that the largest is 1000.

The 8 most intense peaks (2θ from 15° to 90°), low angle first:
30.4°, I = 450; 31.3°, I = 691; 31.8°, I = 817; 37.2°, I = 590; 38.1°, I = 1000; 39.3°, I = 768; 40.2°, I = 991; 43.4°, I = 667

Atomic structure:
```
Be2Au5
1.0
6.2703 -2.5154 0.0000
6.2703 2.5154 0.0000
-0.4766 0.0000 6.9052
Be Au
4 10
Cartesian
4.5247 1.5664 6.3675 Be
7.3010 1.5664 3.9903 Be
4.7630 -1.5664 2.9149 Be
7.5393 -1.5664 0.5377 Be
6.1512 1.8705 1.7263 Au
2.4476 0.3397 5.7913 Au
4.8668 0.6401 4.0351 Au
2.6859 -0.3397 2.3387 Au
6.9589 0.6401 6.3227 Au
5.1051 -0.6401 0.5825 Au
9.3781 0.3397 4.5664 Au
7.1972 -0.6401 2.8701 Au
9.6164 -0.3397 1.1139 Au
5.9129 -1.8705 5.1789 Au
```

---

No. 9
The following is a theoretical PXRD pattern of BeAu4. It was derived from a crystal structure in Alexandria, relaxed with PBE, using λ = 1.5418 Å (Cu Kα).
Intensities are scaled so that the largest is 1000.

The 8 most intense peaks (2θ from 15° to 90°), low angle first:
28.8°, I = 305; 33.2°, I = 533; 36.9°, I = 217; 38.1°, I = 997; 39.6°, I = 1000; 44.5°, I = 329; 62.6°, I = 197; 74.9°, I = 201

Atomic structure:
```
BeAu4
1.0
-2.6971 2.6971 5.6804
2.6971 -2.6971 5.6804
2.6971 2.6971 -5.6804
Be Au
2 8
Cartesian
0.0000 1.3486 1.4201 Be
2.6971 1.3486 4.2603 Be
1.2715 0.5755 -0.5492 Au
1.9241 0.0770 2.2910 Au
1.9241 2.7742 -2.2910 Au
1.4256 -0.5755 5.1313 Au
1.2715 3.2727 0.5492 Au
0.7731 -0.0770 7.9715 Au
0.7731 2.6201 3.3894 Au
1.4256 2.1216 6.2296 Au
```

---

No. 10
The following is a theoretical PXRD pattern of Be5Au3. It was derived from a crystal structure in Alexandria, relaxed with PBE, using λ = 1.5418 Å (Cu Kα).
Intensities are scaled so that the largest is 1000.

The 8 most intense peaks (2θ from 15° to 90°), low angle first:
29.1°, I = 711; 29.3°, I = 648; 31.9°, I = 988; 36.6°, I = 450; 43.8°, I = 1000; 46.4°, I = 239; 55.7°, I = 240; 64.5°, I = 275

Atomic structure:
```
Be5Au3
1.0
3.0652 -4.0179 0.0000
3.0652 4.0179 0.0000
0.0000 0.0000 3.9129
Be Au
5 3
Cartesian
0.0000 0.0000 0.0000 Be
1.5326 2.0089 0.0000 Be
1.6268 0.0000 1.9565 Be
1.5326 -2.0089 0.0000 Be
4.5037 0.0000 1.9565 Be
3.0652 2.2880 1.9565 Au
3.0652 0.0000 0.0000 Au
3.0652 -2.2880 1.9565 Au
```

---

No. 11
The following is a theoretical PXRD pattern of BeAu2. It was derived from a crystal structure in Alexandria, relaxed with PBE, using λ = 1.5418 Å (Cu Kα).
Intensities are scaled so that the largest is 1000.

The 8 most intense peaks (2θ from 15° to 90°), low angle first:
30.8°, I = 473; 32.8°, I = 1000; 40.1°, I = 772; 42.1°, I = 226; 43.1°, I = 415; 67.9°, I = 249; 69.4°, I = 206; 70.0°, I = 232

Atomic structure:
```
BeAu2
1.0
3.5466 0.0000 0.0000
0.0000 1.5449 4.2880
0.0000 -1.5449 4.2880
Be Au
1 2
Cartesian
0.0000 0.0000 0.0000 Be
0.0000 0.0000 2.4915 Au
1.7733 0.0000 4.9303 Au
```

---

No. 12
The following is a theoretical PXRD pattern of BeAu3. It was derived from a crystal structure in Alexandria, relaxed with PBE, using λ = 1.5418 Å (Cu Kα).
Intensities are scaled so that the largest is 1000.

The 8 most intense peaks (2θ from 15° to 90°), low angle first:
30.9°, I = 421; 35.1°, I = 812; 40.5°, I = 351; 40.7°, I = 1000; 57.7°, I = 239; 72.2°, I = 206; 72.9°, I = 243; 73.8°, I = 252

Atomic structure:
```
BeAu3
1.0
-1.5219 2.2271 4.6915
1.5219 -2.2271 4.6915
1.5219 2.2271 -4.6915
Be Au
1 3
Cartesian
0.0000 0.0000 0.0000 Be
1.5219 0.0000 1.8341 Au
0.0000 0.0000 4.6915 Au
0.0000 2.2271 2.8574 Au
```